1.
For NaSn3Te4, a PBE-relaxed structure gives the theoretical powder XRD pattern in this record (Cu Kα, 1.54184 Å).
No peak broadening, texture or thermal motion is included.

Crystal structure
```
NaSn3Te4
1.0
4.562 -6.350 0.000
4.562 6.350 0.000
0.000 0.000 4.401
Na Sn Te
1 3 4
Cartesian
0.000 0.000 0.000
2.281 3.175 2.201
2.281 -3.175 2.201
4.562 0.000 0.000
4.562 3.157 0.000
2.333 0.000 2.201
6.791 0.000 2.201
4.562 -3.157 0.000
```

Largest 8 diffraction maxima, by angle, 2θ = 10–90°:
Position (°2θ), intensity
28.15, 100
39.51, 13
40.22, 51
41.01, 12
49.18, 14
50.46, 14
65.80, 12
65.91, 12



2.
For PtRhN, a PBE-relaxed structure gives the theoretical powder XRD pattern in this record (Cu Kα, 1.54184 Å).
No peak broadening, texture or thermal motion is included.

Crystal structure
```
PtRhN
1.0
-1.412 1.425 9.884
1.412 -1.425 9.884
1.412 1.425 -9.884
Pt Rh N
2 2 2
Cartesian
0.000 0.000 3.954
0.000 0.000 15.814
0.000 0.000 7.895
0.000 0.000 11.873
1.412 0.000 0.608
0.000 1.425 9.277
```

Largest 8 diffraction maxima, by angle, 2θ = 10–90°:
Position (°2θ), intensity
34.56, 26
38.96, 100
39.21, 89
45.21, 68
45.91, 29
46.19, 24
66.40, 41
79.57, 25



3.
For Rb5Bi2Se5, a PBE-relaxed structure gives the theoretical powder XRD pattern in this record (Cu Kα, 1.54184 Å).
No peak broadening, texture or thermal motion is included.

Crystal structure
```
Rb5Bi2Se5
1.0
7.460 -2.508 0.000
7.460 2.508 0.000
-4.117 0.000 12.729
Rb Bi Se
5 2 5
Cartesian
0.000 0.000 0.000
0.080 0.000 7.087
0.240 0.000 10.909
10.563 0.000 1.820
10.723 0.000 5.642
3.935 0.000 9.012
6.868 0.000 3.716
0.951 0.000 3.663
5.420 0.000 1.407
5.401 0.000 6.364
5.382 0.000 11.322
9.852 0.000 9.066
```

Largest 8 diffraction maxima, by angle, 2θ = 10–90°:
Position (°2θ), intensity
18.76, 47
25.25, 58
25.89, 59
26.54, 100
26.95, 66
27.61, 80
35.80, 70
38.95, 61



4.
For TmMg4Sc2, a PBE-relaxed structure gives the theoretical powder XRD pattern in this record (Cu Kα, 1.54184 Å).
No peak broadening, texture or thermal motion is included.

Crystal structure
```
TmMg4Sc2
1.0
2.842 -5.968 0.000
2.842 5.968 0.000
0.000 0.000 5.472
Tm Mg Sc
1 4 2
Cartesian
0.000 0.000 0.000
2.842 4.456 2.736
2.842 2.654 0.000
2.842 -2.654 0.000
2.842 -4.456 2.736
2.842 1.478 2.736
2.842 -1.478 2.736
```

Largest 8 diffraction maxima, by angle, 2θ = 10–90°:
Position (°2θ), intensity
17.28, 50
23.77, 100
27.36, 48
31.48, 46
31.96, 38
32.73, 41
34.23, 68
47.18, 54